[1]
Calculated XRD peak list
Compound: Na6YTa3Si6O24
Radiation: CuKα
Structure: a structure optimized by DFT (PBE)
Lines closer than 0.1° are merged.

Atomic structure:
```
Na6YTa3Si6O24
1.0
9.1242 0.0000 0.0000
4.5569 7.9261 0.0000
0.0092 5.2667 7.5127
Na Y Ta Si O
6 1 3 6 24
Cartesian
0.0000 0.0000 0.0000
3.2129 5.2799 1.7851
7.4456 7.9879 1.6163
9.1259 10.5268 3.8006
6.2731 4.8389 5.8045
10.3216 7.9159 5.6739
9.0245 10.4835 7.0277
4.5510 7.9262 3.3008
4.6183 2.6183 0.5072
9.1388 5.1694 4.2294
1.3523 2.8628 1.8093
3.1943 5.6419 5.6251
6.4130 5.2280 1.9741
7.2122 7.7839 5.5621
10.4657 7.5898 1.9007
12.4847 10.2103 5.6747
3.9390 9.3383 4.4175
1.5476 5.5130 5.5455
5.4354 9.2197 2.0223
3.8831 9.4510 7.0583
3.6149 6.5876 4.3608
3.0166 2.8561 1.8275
5.2495 6.4017 2.1261
3.5368 6.5499 6.9877
6.2409 7.7174 4.2507
4.0033 4.2595 5.5556
5.5708 3.8163 1.7867
7.3002 5.7204 0.7371
6.1792 7.6966 6.8795
9.6234 9.0048 1.7717
8.1824 9.0582 5.5077
7.3902 5.0776 3.3131
8.1210 6.3958 5.5887
10.3835 6.6715 0.5778
10.8802 10.3272 5.5667
9.8158 6.7584 3.2062
9.9020 3.3960 0.4166
12.0656 7.9120 2.1115
13.1614 11.7120 5.5853
10.0147 3.8808 3.0688
```

Top 6 peaks for 10° ≤ 2θ ≤ 80°, sorted by position:
2theta  I/Imax
19.36  100.0
19.44  52.2
27.52  22.3
30.81  48.9
33.92  33.7
34.01  27.9

=====

[2]
Calculated XRD peak list
Compound: Te4Mo3WSe2S2
Radiation: CuKα
Structure: a structure optimized by DFT (PBE)
Lines closer than 0.1° are merged.

Atomic structure:
```
Te4Mo3WSe2S2
1.0
3.3991 0.0000 0.0000
-1.6995 2.9437 0.0000
0.0000 0.0000 38.7080
Te Mo W Se S
4 3 1 2 2
Cartesian
0.0000 0.0000 0.0000
0.0000 0.0000 3.7664
0.0000 0.0000 14.5559
0.0000 0.0000 18.3001
0.0000 0.0000 9.1563
0.0000 0.0000 33.3203
0.0000 1.9625 16.4287
0.0000 1.9625 1.8839
0.0000 1.9625 7.5071
0.0000 1.9625 10.8046
0.0000 1.9625 31.8177
0.0000 1.9625 34.8230
```

Top 6 peaks for 10° ≤ 2θ ≤ 80°, sorted by position:
2theta  I/Imax
11.43  97.7
30.38  54.4
35.70  100.0
43.22  56.6
44.98  19.7
53.96  39.6

=====

[3]
Calculated XRD peak list
Compound: Te4MoW3Se2S2
Radiation: CuKα
Structure: a structure optimized by DFT (PBE)
Lines closer than 0.1° are merged.

Atomic structure:
```
Te4MoW3Se2S2
1.0
3.3945 0.0000 0.0000
-1.6973 2.9397 0.0000
0.0000 0.0000 38.8521
Te Mo W Se S
4 1 3 2 2
Cartesian
0.0000 0.0000 0.0000
0.0000 0.0000 3.7458
1.6973 0.9799 31.5365
1.6973 0.9799 35.3067
1.6973 0.9799 1.8729
0.0000 0.0000 9.1706
0.0000 0.0000 33.4217
1.6973 0.9799 26.1258
1.6973 0.9799 7.5136
1.6973 0.9799 10.8278
0.0000 0.0000 24.6177
0.0000 0.0000 27.6325
```

Top 6 peaks for 10° ≤ 2θ ≤ 80°, sorted by position:
2theta  I/Imax
11.39  100.0
30.44  49.4
35.70  88.0
37.00  22.1
43.17  49.8
54.04  33.1

=====

[4]
Calculated XRD peak list
Compound: K3Sr
Radiation: CuKα
Structure: a structure optimized by DFT (PBE)
Lines closer than 0.1° are merged.

Atomic structure:
```
K3Sr
1.0
0.0000 5.1659 5.1659
5.1659 0.0000 5.1659
5.1659 5.1659 0.0000
K Sr
3 1
Cartesian
0.0000 0.0000 0.0000
2.5829 2.5829 2.5829
7.7488 7.7488 7.7488
5.1659 5.1659 5.1659
```

Top 6 peaks for 10° ≤ 2θ ≤ 80°, sorted by position:
2theta  I/Imax
24.37  100.0
34.73  19.1
42.88  40.4
49.93  12.5
56.32  17.0
67.89  18.7

=====

What did the fourth record say?
Calculated XRD peak list
Compound: K3Sr
Radiation: CuKα
Structure: a structure optimized by DFT (PBE)
Lines closer than 0.1° are merged.

Atomic structure:
```
K3Sr
1.0
0.0000 5.1659 5.1659
5.1659 0.0000 5.1659
5.1659 5.1659 0.0000
K Sr
3 1
Cartesian
0.0000 0.0000 0.0000
2.5829 2.5829 2.5829
7.7488 7.7488 7.7488
5.1659 5.1659 5.1659
```

Top 6 peaks for 10° ≤ 2θ ≤ 80°, sorted by position:
2theta  I/Imax
24.37  100.0
34.73  19.1
42.88  40.4
49.93  12.5
56.32  17.0
67.89  18.7

=====

Q: What is the formula in the second record?
A: Te4Mo3WSe2S2